No. 1
Theoretical X-ray powder pattern of Cs2InReI6 for Cu Kα, from a GGA-PBE-relaxed structure.
Peak positions follow from Bragg's law for the DFT cell and can differ from measured ones.

Main lines, by angle (10 to 80 degrees two-theta):
- 14.6 deg, rel. 29.6
- 20.7 deg, rel. 31.3
- 25.5 deg, rel. 56.2
- 29.5 deg, rel. 100.0
- 42.2 deg, rel. 70.4
- 69.4 deg, rel. 27.0

Structure:
abc: 8.5634 8.5634 8.5634
angles: 60.00 60.00 60.00
Fractional coordinates of all 10 atoms:
Cs: 0.2500 0.2500 0.2500
Cs: 0.7500 0.7500 0.7500
In: 0.0000 0.0000 0.0000
Re: 0.5000 0.5000 0.5000
I: 0.2720 0.2720 0.7280
I: 0.2720 0.7280 0.2720
I: 0.2720 0.7280 0.7280
I: 0.7280 0.2720 0.2720
I: 0.7280 0.2720 0.7280
I: 0.7280 0.7280 0.2720



No. 2
Theoretical X-ray powder pattern of Th4Pd12Pt for Cu Kα, from a GGA-PBE-relaxed structure.
Peak positions follow from Bragg's law for the DFT cell and can differ from measured ones.

Main lines, by angle (10 to 80 degrees two-theta):
- 29.1 deg, rel. 39.8
- 35.9 deg, rel. 100.0
- 38.9 deg, rel. 16.5
- 41.7 deg, rel. 70.3
- 60.4 deg, rel. 40.7
- 72.3 deg, rel. 29.1

Structure:
abc: 7.5057 7.5057 7.5057
angles: 109.47 109.47 109.47
Fractional coordinates of all 17 atoms:
Th: 0.0000 0.0000 0.5000
Th: 0.0000 0.5000 0.0000
Th: 0.5000 0.0000 0.0000
Th: 0.5000 0.5000 0.5000
Pd: 0.0000 0.3017 0.3017
Pd: 0.0000 0.6983 0.6983
Pd: 0.2500 0.5000 0.7500
Pd: 0.2500 0.7500 0.5000
Pd: 0.3017 0.0000 0.3017
Pd: 0.3017 0.3017 0.0000
Pd: 0.5000 0.2500 0.7500
Pd: 0.5000 0.7500 0.2500
Pd: 0.6983 0.0000 0.6983
Pd: 0.6983 0.6983 0.0000
Pd: 0.7500 0.2500 0.5000
Pd: 0.7500 0.5000 0.2500
Pt: 0.0000 0.0000 0.0000



No. 3
Theoretical X-ray powder pattern of TmCo2Si4 for Cu Kα, from a GGA-PBE-relaxed structure.
Peak positions follow from Bragg's law for the DFT cell and can differ from measured ones.

Main lines, by angle (10 to 80 degrees two-theta):
- 15.4 deg, rel. 38.0
- 25.4 deg, rel. 40.0
- 38.8 deg, rel. 100.0
- 39.1 deg, rel. 71.2
- 42.0 deg, rel. 40.0
- 46.6 deg, rel. 33.4

Structure:
abc: 16.0528 3.9013 6.1852
angles: 90.00 90.00 90.00
Fractional coordinates of all 28 atoms:
Tm: 0.1410 0.2500 0.0084
Tm: 0.3590 0.7500 0.5084
Tm: 0.6410 0.2500 0.4916
Tm: 0.8590 0.7500 0.9916
Co: 0.0345 0.7500 0.7476
Co: 0.2128 0.2500 0.4842
Co: 0.2872 0.7500 0.9842
Co: 0.4655 0.2500 0.2476
Co: 0.5345 0.7500 0.7524
Co: 0.7128 0.2500 0.0158
Co: 0.7872 0.7500 0.5158
Co: 0.9655 0.2500 0.2524
Si: 0.0279 0.7500 0.1359
Si: 0.0666 0.2500 0.5272
Si: 0.1817 0.7500 0.6862
Si: 0.1993 0.7500 0.2862
Si: 0.3007 0.2500 0.7862
Si: 0.3183 0.2500 0.1862
Si: 0.4334 0.7500 0.0272
Si: 0.4721 0.2500 0.6359
Si: 0.5279 0.7500 0.3641
Si: 0.5666 0.2500 0.9728
Si: 0.6817 0.7500 0.8138
Si: 0.6993 0.7500 0.2138
Si: 0.8007 0.2500 0.7138
Si: 0.8183 0.2500 0.3138
Si: 0.9334 0.7500 0.4728
Si: 0.9721 0.2500 0.8641



No. 4
Theoretical X-ray powder pattern of Ba3BiSb2O9 for Cu Kα, from a GGA-PBE-relaxed structure.
Peak positions follow from Bragg's law for the DFT cell and can differ from measured ones.

Main lines, by angle (10 to 80 degrees two-theta):
- 29.2 deg, rel. 100.0
- 41.8 deg, rel. 29.2
- 51.7 deg, rel. 10.2
- 51.9 deg, rel. 30.7
- 60.7 deg, rel. 9.1
- 68.8 deg, rel. 9.2

Structure:
abc: 6.1024 6.1024 7.5077
angles: 90.00 90.00 120.00
Fractional coordinates of all 15 atoms:
Ba: 0.0000 0.0000 0.0000
Ba: 0.3333 0.6667 0.6749
Ba: 0.6667 0.3333 0.3251
Bi: 0.0000 0.0000 0.5000
Sb: 0.3333 0.6667 0.1630
Sb: 0.6667 0.3333 0.8370
O: 0.0000 0.5000 0.0000
O: 0.1755 0.3510 0.3161
O: 0.1755 0.8245 0.3161
O: 0.3510 0.1755 0.6839
O: 0.5000 0.0000 0.0000
O: 0.5000 0.5000 0.0000
O: 0.6490 0.8245 0.3161
O: 0.8245 0.1755 0.6839
O: 0.8245 0.6490 0.6839



No. 5
Theoretical X-ray powder pattern of Tb6RuO12 for Cu Kα, from a GGA-PBE-relaxed structure.
Peak positions follow from Bragg's law for the DFT cell and can differ from measured ones.

Main lines, by angle (10 to 80 degrees two-theta):
- 28.4 deg, rel. 31.1
- 29.3 deg, rel. 100.0
- 33.7 deg, rel. 45.5
- 47.7 deg, rel. 25.8
- 48.9 deg, rel. 27.0
- 57.5 deg, rel. 22.9

Structure:
abc: 6.5019 6.5019 6.5019
angles: 98.55 98.55 98.55
Fractional coordinates of all 19 atoms:
Tb: 0.1119 0.8123 0.6436
Tb: 0.1877 0.3564 0.8881
Tb: 0.3564 0.8881 0.1877
Tb: 0.6436 0.1119 0.8123
Tb: 0.8123 0.6436 0.1119
Tb: 0.8881 0.1877 0.3564
Ru: 0.5000 0.5000 0.5000
O: 0.0646 0.9091 0.3224
O: 0.0909 0.6776 0.9354
O: 0.2032 0.4286 0.5350
O: 0.3224 0.0646 0.9091
O: 0.4286 0.5350 0.2032
O: 0.4650 0.7968 0.5714
O: 0.5350 0.2032 0.4286
O: 0.5714 0.4650 0.7968
O: 0.6776 0.9354 0.0909
O: 0.7968 0.5714 0.4650
O: 0.9091 0.3224 0.0646
O: 0.9354 0.0909 0.6776



No. 6
Theoretical X-ray powder pattern of Ce2PaH8 for Cu Kα, from a GGA-PBE-relaxed structure.
Peak positions follow from Bragg's law for the DFT cell and can differ from measured ones.

Main lines, by angle (10 to 80 degrees two-theta):
- 29.1 deg, rel. 100.0
- 30.0 deg, rel. 22.9
- 35.5 deg, rel. 29.4
- 47.1 deg, rel. 28.2
- 52.7 deg, rel. 19.5
- 59.8 deg, rel. 26.5

Structure:
abc: 6.4001 6.4001 6.4001
angles: 147.55 124.55 65.74
Fractional coordinates of all 11 atoms:
Ce: 0.1720 0.1720 0.0000
Ce: 0.8280 0.8280 0.0000
Pa: 0.5000 0.5000 0.0000
H: 0.0900 0.3432 0.7468
H: 0.2471 0.0000 0.2471
H: 0.3457 0.8457 0.5000
H: 0.4037 0.6568 0.7468
H: 0.5963 0.3432 0.2532
H: 0.6543 0.1543 0.5000
H: 0.7529 0.0000 0.7529
H: 0.9100 0.6568 0.2532



No. 7
Theoretical X-ray powder pattern of CaThTlBi for Cu Kα, from a GGA-PBE-relaxed structure.
Peak positions follow from Bragg's law for the DFT cell and can differ from measured ones.

Main lines, by angle (10 to 80 degrees two-theta):
- 19.5 deg, rel. 15.7
- 32.2 deg, rel. 100.0
- 46.1 deg, rel. 18.7
- 57.4 deg, rel. 39.5
- 67.3 deg, rel. 12.3
- 76.6 deg, rel. 17.2

Structure:
abc: 5.5652 5.5652 5.5652
angles: 60.00 60.00 60.00
Fractional coordinates of all 4 atoms:
Ca: 0.0000 0.0000 0.0000
Th: 0.5000 0.5000 0.5000
Tl: 0.7500 0.7500 0.7500
Bi: 0.2500 0.2500 0.2500



No. 8
Theoretical X-ray powder pattern of HRu2W for Cu Kα, from a GGA-PBE-relaxed structure.
Peak positions follow from Bragg's law for the DFT cell and can differ from measured ones.

Main lines, by angle (10 to 80 degrees two-theta):
- 14.9 deg, rel. 15.0
- 39.2 deg, rel. 100.0
- 45.3 deg, rel. 16.9
- 45.5 deg, rel. 15.6
- 45.9 deg, rel. 15.6
- 79.6 deg, rel. 12.6

Structure:
abc: 6.2608 6.2608 3.9999
angles: 90.00 90.00 142.90
Fractional coordinates of all 8 atoms:
H: 0.0000 0.0000 0.2500
H: 0.0000 0.0000 0.7500
Ru: 0.1865 0.3685 0.0000
Ru: 0.3685 0.1865 0.5000
Ru: 0.6315 0.8135 0.5000
Ru: 0.8135 0.6315 0.0000
W: 0.0000 0.5000 0.5000
W: 0.5000 0.0000 0.0000



No. 9
Theoretical X-ray powder pattern of Mn8Ge for Cu Kα, from a GGA-PBE-relaxed structure.
Peak positions follow from Bragg's law for the DFT cell and can differ from measured ones.

Main lines, by angle (10 to 80 degrees two-theta):
- 44.0 deg, rel. 100.0
- 47.5 deg, rel. 20.6
- 47.9 deg, rel. 19.4
- 58.0 deg, rel. 9.9
- 69.7 deg, rel. 11.4
- 78.2 deg, rel. 7.7

Structure:
abc: 7.4296 6.0109 5.1384
angles: 83.18 53.45 43.37
Fractional coordinates of all 9 atoms:
Mn: 0.1568 0.5034 0.4966
Mn: 0.1635 0.1635 0.8365
Mn: 0.1777 0.8223 0.1777
Mn: 0.4966 0.8432 0.1568
Mn: 0.5034 0.1568 0.8432
Mn: 0.8223 0.1777 0.8223
Mn: 0.8365 0.8365 0.1635
Mn: 0.8432 0.4966 0.5034
Ge: 0.5000 0.5000 0.5000



No. 10
Theoretical X-ray powder pattern of Tb6Dy3Y2 for Cu Kα, from a GGA-PBE-relaxed structure.
Peak positions follow from Bragg's law for the DFT cell and can differ from measured ones.

Main lines, by angle (10 to 80 degrees two-theta):
- 30.8 deg, rel. 100.0
- 35.7 deg, rel. 50.5
- 51.4 deg, rel. 36.0
- 61.1 deg, rel. 31.9
- 61.2 deg, rel. 10.6
- 64.1 deg, rel. 9.3

Structure:
abc: 31.9471 31.9471 31.9471
angles: 6.39 6.39 6.39
Fractional coordinates of all 11 atoms:
Tb: 0.0907 0.0907 0.0907
Tb: 0.1818 0.1818 0.1818
Tb: 0.3636 0.3636 0.3636
Tb: 0.6364 0.6364 0.6364
Tb: 0.8182 0.8182 0.8182
Tb: 0.9093 0.9093 0.9093
Dy: 0.0000 0.0000 0.0000
Dy: 0.2729 0.2729 0.2729
Dy: 0.7271 0.7271 0.7271
Y: 0.4544 0.4544 0.4544
Y: 0.5456 0.5456 0.5456



No. 11
Theoretical X-ray powder pattern of Ba3Cu2O6 for Cu Kα, from a GGA-PBE-relaxed structure.
Peak positions follow from Bragg's law for the DFT cell and can differ from measured ones.

Main lines, by angle (10 to 80 degrees two-theta):
- 22.6 deg, rel. 14.7
- 30.4 deg, rel. 100.0
- 31.6 deg, rel. 55.4
- 40.5 deg, rel. 25.4
- 45.3 deg, rel. 31.4
- 55.5 deg, rel. 36.1

Structure:
abc: 11.2233 11.2233 11.2233
angles: 159.46 159.46 29.20
Fractional coordinates of all 11 atoms:
Ba: 0.0000 0.0000 0.0000
Ba: 0.1801 0.1801 0.0000
Ba: 0.8199 0.8199 0.0000
Cu: 0.3976 0.3976 0.0000
Cu: 0.6024 0.6024 0.0000
O: 0.0879 0.5879 0.5000
O: 0.3059 0.3059 0.0000
O: 0.4121 0.9121 0.5000
O: 0.5879 0.0879 0.5000
O: 0.6941 0.6941 0.0000
O: 0.9121 0.4121 0.5000



No. 12
Theoretical X-ray powder pattern of Pm2InGa3 for Cu Kα, from a GGA-PBE-relaxed structure.
Peak positions follow from Bragg's law for the DFT cell and can differ from measured ones.

Main lines, by angle (10 to 80 degrees two-theta):
- 31.5 deg, rel. 100.0
- 41.0 deg, rel. 30.0
- 41.1 deg, rel. 14.9
- 42.5 deg, rel. 13.6
- 52.7 deg, rel. 15.4
- 60.6 deg, rel. 27.9

Structure:
abc: 8.8049 8.7377 6.1117
angles: 70.20 69.02 40.78
Fractional coordinates of all 12 atoms:
Pm: 0.2483 0.7517 0.7517
Pm: 0.2500 0.2500 0.2500
Pm: 0.7500 0.7500 0.7500
Pm: 0.7517 0.2483 0.2483
In: 0.3334 0.3334 0.6666
In: 0.6666 0.6666 0.3334
Ga: 0.1618 0.1618 0.8382
Ga: 0.1622 0.6766 0.3234
Ga: 0.3234 0.8378 0.1622
Ga: 0.6766 0.1622 0.8378
Ga: 0.8378 0.3234 0.6766
Ga: 0.8382 0.8382 0.1618



No. 13
Theoretical X-ray powder pattern of La4Tl for Cu Kα, from a GGA-PBE-relaxed structure.
Peak positions follow from Bragg's law for the DFT cell and can differ from measured ones.

Main lines, by angle (10 to 80 degrees two-theta):
- 30.3 deg, rel. 100.0
- 34.7 deg, rel. 34.9
- 36.0 deg, rel. 16.1
- 50.9 deg, rel. 23.7
- 59.6 deg, rel. 28.6
- 61.2 deg, rel. 13.6

Structure:
abc: 6.2894 6.2894 11.5520
angles: 90.01 90.01 46.74
Fractional coordinates of all 10 atoms:
La: 0.0413 0.0413 0.1575
La: 0.1575 0.1575 0.4585
La: 0.3424 0.3424 0.0414
La: 0.4582 0.4582 0.3424
La: 0.5418 0.5418 0.6576
La: 0.6576 0.6576 0.9586
La: 0.8425 0.8425 0.5415
La: 0.9587 0.9587 0.8425
Tl: 0.2503 0.2503 0.7500
Tl: 0.7497 0.7497 0.2500